Record 1
Structure and theoretical X-ray powder pattern of NaCrAsCO7 (a GGA+U-relaxed structure; Cu Kα (weighted mean of Kα1 and Kα2)).
Peak positions follow from Bragg's law for the DFT cell and can differ from measured ones.

The 12 most intense peaks (15° ≤ 2θ ≤ 90°), most intense first:
- (0 2 0), 2θ 27.6, intensity 1000
- (1 1 1), 2θ 23.9, intensity 972
- (1 0 -2), 2θ 24.8, intensity 898
- (1 0 -1), 2θ 18.7, intensity 646
- (0 1 1), 2θ 16.7, intensity 536
- (1 0 1), 2θ 19.5, intensity 521
- (2 0 0), 2θ 33.4, intensity 466
- (1 1 2), 2θ 29.5, intensity 412
- (1 1 3), 2θ 37.0, intensity 353
- (0 2 1), 2θ 29.2, intensity 330
- (0 2 2), 2θ 33.8, intensity 326
- (1 1 -1), 2θ 23.3, intensity 320

```
data_NaCrAsCO7
_chemical_formula_sum 'Na2 Cr2 As2 C2 O14'
_symmetry_space_group_name_H-M 'P 1 21 1'
_symmetry_Int_Tables_number 4
_symmetry_space_group_name_Hall 'P 2yb'
_cell_length_a 5.373
_cell_length_b 6.472
_cell_length_c 9.266
_cell_angle_alpha 90.00
_cell_angle_beta 92.73
_cell_angle_gamma 90.00
loop_
_atom_site_label
_atom_site_fract_x
_atom_site_fract_y
_atom_site_fract_z
_atom_site_occupancy
Na1 0.231 0.000 0.283 1
Cr1 0.208 0.222 0.834 1
As1 0.283 0.730 0.935 1
C1 0.274 0.240 0.580 1
O1 0.051 0.234 0.635 1
O2 0.123 0.744 0.090 1
O3 0.192 0.529 0.825 1
O4 0.207 0.934 0.820 1
O5 0.322 0.234 0.452 1
O6 0.403 0.215 0.023 1
O7 0.451 0.251 0.689 1
```

Record 2
Structure and theoretical X-ray powder pattern of Li3FeAsCO7 (a GGA+U-relaxed structure; Cu Kα (weighted mean of Kα1 and Kα2)).
Peak positions follow from Bragg's law for the DFT cell and can differ from measured ones.

The 12 most intense peaks (15° ≤ 2θ ≤ 90°), most intense first:
- (0 2 0), 2θ 27.0, intensity 1000
- (1 0 1), 2θ 21.1, intensity 459
- (1 0 -1), 2θ 19.3, intensity 450
- (1 0 -2), 2θ 25.6, intensity 446
- (2 0 -1), 2θ 35.7, intensity 298
- (1 -1 1), 2θ 25.0, intensity 236
- (2 0 0), 2θ 35.2, intensity 234
- (1 1 1), 2θ 25.2, intensity 230
- (0 1 -4), 2θ 44.1, intensity 177
- (1 0 -3), 2θ 34.2, intensity 171
- (0 4 0), 2θ 55.6, intensity 166
- (-1 1 1), 2θ 23.6, intensity 146

```
data_Li3FeAsCO7
_chemical_formula_sum 'Li6 Fe2 As2 C2 O14'
_symmetry_space_group_name_H-M 'P -1'
_symmetry_Int_Tables_number 2
_symmetry_space_group_name_Hall '-P 1'
_cell_length_a 5.125
_cell_length_b 6.609
_cell_length_c 8.674
_cell_angle_alpha 90.18
_cell_angle_beta 95.91
_cell_angle_gamma 90.29
loop_
_atom_site_label
_atom_site_fract_x
_atom_site_fract_y
_atom_site_fract_z
_atom_site_occupancy
Li1 0.212 0.250 0.097 1
Li2 0.253 0.522 0.730 1
Li3 0.256 0.982 0.733 1
Fe1 0.213 0.750 0.319 1
As1 0.278 0.250 0.415 1
C1 0.326 0.751 0.028 1
O1 0.084 0.749 0.058 1
O2 0.159 0.054 0.294 1
O3 0.163 0.445 0.294 1
O4 0.173 0.252 0.595 1
O5 0.383 0.750 0.562 1
O6 0.388 0.750 0.886 1
O7 0.490 0.247 0.856 1
```

Record 3
Structure and theoretical X-ray powder pattern of Na4Fe2AsC4O16 (a GGA+U-relaxed structure; Cu Kα (weighted mean of Kα1 and Kα2)).
Peak positions follow from Bragg's law for the DFT cell and can differ from measured ones.

The 12 most intense peaks (15° ≤ 2θ ≤ 90°), most intense first:
- (0 2 2), 2θ 17.7, intensity 1000
- (1 1 3), 2θ 20.5, intensity 833
- (3 1 1), 2θ 21.2, intensity 506
- (1 3 1), 2θ 21.0, intensity 472
- (5 1 1), 2θ 33.5, intensity 439
- (1 5 1), 2θ 33.3, intensity 426
- (1 1 5), 2θ 32.3, intensity 409
- (4 0 4), 2θ 35.9, intensity 320
- (0 4 4), 2θ 35.8, intensity 290
- (4 4 0), 2θ 36.5, intensity 261
- (4 6 2), 2θ 48.8, intensity 245
- (2 2 2), 2θ 21.9, intensity 216

```
data_Na4Fe2AsC4O16
_chemical_formula_sum 'Na32 Fe16 As8 C32 O128'
_symmetry_space_group_name_H-M 'F d d d'
_symmetry_Int_Tables_number 70
_cell_length_a 13.866
_cell_length_b 13.967
_cell_length_c 14.450
_cell_angle_alpha 90.00
_cell_angle_beta 90.00
_cell_angle_gamma 90.00
loop_
_symmetry_equiv_pos_as_xyz
'x,y,z'
'-x,-y,-z'
'-x+1/4,-y+1/4,z'
'x+1/4,y+1/4,-z'
'x,-y+1/4,-z+1/4'
'-x,y+1/4,z+1/4'
'-x+1/4,y,-z+1/4'
'x+1/4,-y,z+1/4'
'x,y+1/2,z+1/2'
'-x,-y+1/2,-z+1/2'
'-x+1/4,-y+3/4,z+1/2'
'x+1/4,y+3/4,-z+1/2'
'x,-y+3/4,-z+3/4'
'-x,y+3/4,z+3/4'
'-x+1/4,y+1/2,-z+3/4'
'x+1/4,-y+1/2,z+3/4'
'x+1/2,y,z+1/2'
'-x+1/2,-y,-z+1/2'
'-x+3/4,-y+1/4,z+1/2'
'x+3/4,y+1/4,-z+1/2'
'x+1/2,-y+1/4,-z+3/4'
'-x+1/2,y+1/4,z+3/4'
'-x+3/4,y,-z+3/4'
'x+3/4,-y,z+3/4'
'x+1/2,y+1/2,z'
'-x+1/2,-y+1/2,-z'
'-x+3/4,-y+3/4,z'
'x+3/4,y+3/4,-z'
'x+1/2,-y+3/4,-z+1/4'
'-x+1/2,y+3/4,z+1/4'
'-x+3/4,y+1/2,-z+1/4'
'x+3/4,-y+1/2,z+1/4'
loop_
_atom_site_label
_atom_site_fract_x
_atom_site_fract_y
_atom_site_fract_z
_atom_site_occupancy
Na1 0.089 0.375 0.375 1
Na2 0.125 0.339 0.125 1
Fe1 0.000 0.000 0.500 1
As1 0.125 0.125 0.125 1
C1 0.034 0.036 0.710 1
O1 0.017 0.106 0.767 1
O2 0.020 0.273 0.888 1
O3 0.051 0.051 0.061 1
O4 0.105 0.273 0.524 1
```

Record 4
Structure and theoretical X-ray powder pattern of Na3FeAsCO7 (a GGA+U-relaxed structure; Cu Kα (weighted mean of Kα1 and Kα2)).
Peak positions follow from Bragg's law for the DFT cell and can differ from measured ones.

The 12 most intense peaks (15° ≤ 2θ ≤ 90°), most intense first:
- (0 2 2), 2θ 32.5, intensity 1000
- (0 2 0), 2θ 26.0, intensity 886
- (2 0 0), 2θ 33.8, intensity 654
- (1 1 2), 2θ 29.0, intensity 423
- (1 0 -2), 2θ 25.3, intensity 387
- (1 0 -1), 2θ 19.1, intensity 381
- (1 1 1), 2θ 23.4, intensity 375
- (0 2 4), 2θ 47.5, intensity 333
- (0 4 0), 2θ 53.5, intensity 301
- (1 0 -3), 2θ 33.3, intensity 279
- (1 2 1), 2θ 32.7, intensity 256
- (2 2 2), 2θ 47.9, intensity 200

```
data_Na3FeAsCO7
_chemical_formula_sum 'Na6 Fe2 As2 C2 O14'
_symmetry_space_group_name_H-M 'P 1 21/m 1'
_symmetry_Int_Tables_number 11
_symmetry_space_group_name_Hall '-P 2yb'
_cell_length_a 5.308
_cell_length_b 6.849
_cell_length_c 9.242
_cell_angle_alpha 90.00
_cell_angle_beta 91.18
_cell_angle_gamma 90.00
loop_
_atom_site_label
_atom_site_fract_x
_atom_site_fract_y
_atom_site_fract_z
_atom_site_occupancy
Na1 0.237 0.250 0.080 1
Na2 0.249 0.502 0.743 1
Fe1 0.218 0.750 0.345 1
As1 0.300 0.250 0.416 1
C1 0.276 0.750 0.056 1
O1 0.056 0.750 0.116 1
O2 0.161 0.250 0.581 1
O3 0.218 0.053 0.308 1
O4 0.293 0.750 0.916 1
O5 0.376 0.750 0.559 1
O6 0.479 0.750 0.139 1
```

Record 5
Structure and theoretical X-ray powder pattern of Na6Fe2AsC4O16 (a GGA+U-relaxed structure; Cu Kα (weighted mean of Kα1 and Kα2)).
Peak positions follow from Bragg's law for the DFT cell and can differ from measured ones.

The 12 most intense peaks (15° ≤ 2θ ≤ 90°), most intense first:
- (3 1 1), 2θ 20.6, intensity 1000
- (5 1 1), 2θ 32.5, intensity 988
- (4 4 0), 2θ 35.5, intensity 681
- (5 5 5), 2θ 55.6, intensity 386
- (2 2 0), 2θ 17.5, intensity 293
- (9 5 1), 2θ 67.7, intensity 171
- (5 5 3), 2θ 48.9, intensity 164
- (6 2 2), 2θ 41.8, intensity 145
- (6 4 2), 2θ 47.5, intensity 145
- (6 6 2), 2θ 56.0, intensity 139
- (9 3 1), 2θ 61.8, intensity 138
- (7 1 1), 2θ 45.2, intensity 138

Unit cell a=14.320 b=14.320 c=14.320 alpha=90.00 beta=90.00 gamma=90.00
Space group Fd-3 (No. 203, origin choice 2)
Inequivalent atoms, fractional coordinates:
Na: 0.085 0.375 0.375 (multiplicity 48)
Fe: 0.000 0.000 0.500 (multiplicity 16)
As: 0.125 0.125 0.125 (multiplicity 8)
C: 0.035 0.035 0.715 (multiplicity 32)
O: 0.021 0.273 0.604 (multiplicity 96)
O: 0.055 0.055 0.055 (multiplicity 32)

Record 6
Structure and theoretical X-ray powder pattern of Li3MnAsCO7 (a GGA+U-relaxed structure; Cu Kα (weighted mean of Kα1 and Kα2)).
Peak positions follow from Bragg's law for the DFT cell and can differ from measured ones.

The 12 most intense peaks (15° ≤ 2θ ≤ 90°), most intense first:
- (0 2 0), 2θ 26.1, intensity 1000
- (1 1 1), 2θ 24.4, intensity 450
- (1 0 -1), 2θ 19.8, intensity 431
- (1 0 -2), 2θ 26.4, intensity 391
- (1 0 1), 2θ 20.6, intensity 299
- (2 0 0), 2θ 35.3, intensity 265
- (0 1 4), 2θ 43.8, intensity 197
- (1 1 2), 2θ 30.6, intensity 196
- (2 0 -1), 2θ 36.3, intensity 185
- (0 2 2), 2θ 33.4, intensity 182
- (0 3 4), 2θ 58.8, intensity 165
- (0 4 0), 2θ 53.6, intensity 162

```
data_Li3MnAsCO7
_chemical_formula_sum 'Li6 Mn2 As2 C2 O14'
_symmetry_space_group_name_H-M 'P 1 21/m 1'
_symmetry_Int_Tables_number 11
_symmetry_space_group_name_Hall '-P 2yb'
_cell_length_a 5.096
_cell_length_b 6.835
_cell_length_c 8.674
_cell_angle_alpha 90.00
_cell_angle_beta 92.52
_cell_angle_gamma 90.00
loop_
_atom_site_label
_atom_site_fract_x
_atom_site_fract_y
_atom_site_fract_z
_atom_site_occupancy
Li1 0.224 0.037 0.223 1
Li2 0.256 0.750 0.579 1
Mn1 0.226 0.250 0.826 1
As1 0.289 0.750 0.916 1
C1 0.287 0.250 0.521 1
O1 0.048 0.250 0.566 1
O2 0.177 0.557 0.804 1
O3 0.192 0.750 0.103 1
O4 0.340 0.250 0.375 1
O5 0.370 0.250 0.067 1
O6 0.482 0.250 0.623 1
```

Record 7
Structure and theoretical X-ray powder pattern of LiMnAsCO7 (a GGA+U-relaxed structure; Cu Kα (weighted mean of Kα1 and Kα2)).
Peak positions follow from Bragg's law for the DFT cell and can differ from measured ones.

The 12 most intense peaks (15° ≤ 2θ ≤ 90°), most intense first:
- (0 2 0), 2θ 27.8, intensity 1000
- (1 1 1), 2θ 24.7, intensity 708
- (1 0 -1), 2θ 19.1, intensity 680
- (1 0 -2), 2θ 25.4, intensity 644
- (1 0 1), 2θ 20.4, intensity 562
- (2 0 0), 2θ 34.5, intensity 446
- (0 1 1), 2θ 17.1, intensity 316
- (1 1 2), 2θ 30.7, intensity 242
- (0 2 1), 2θ 29.6, intensity 238
- (1 1 -1), 2θ 23.7, intensity 229
- (1 1 3), 2θ 38.7, intensity 220
- (2 0 -1), 2θ 35.2, intensity 206

```
data_LiMnAsCO7
_chemical_formula_sum 'Li2 Mn2 As2 C2 O14'
_symmetry_space_group_name_H-M 'P 1 21 1'
_symmetry_Int_Tables_number 4
_symmetry_space_group_name_Hall 'P 2yb'
_cell_length_a 5.215
_cell_length_b 6.412
_cell_length_c 8.907
_cell_angle_alpha 90.00
_cell_angle_beta 94.18
_cell_angle_gamma 90.00
loop_
_atom_site_label
_atom_site_fract_x
_atom_site_fract_y
_atom_site_fract_z
_atom_site_occupancy
Li1 0.220 0.000 0.290 1
Mn1 0.205 0.251 0.832 1
As1 0.279 0.756 0.930 1
C1 0.275 0.252 0.567 1
O1 0.047 0.257 0.623 1
O2 0.144 0.765 0.100 1
O3 0.172 0.552 0.818 1
O4 0.200 0.956 0.809 1
O5 0.312 0.224 0.434 1
O6 0.393 0.235 0.028 1
O7 0.460 0.271 0.677 1
```